Record 1
This entry pairs a crystal structure of HoGeAu with its calculated X-ray diffraction stick pattern. Radiation: Cu Ka. Structure: a cell relaxed with GGA-PBE.

Structure:
Cell lengths 6.5207, 6.5207, 6.5207 Å; angles 90.00, 90.00, 90.00 degrees
Space group F-43m (No. 216)
Symmetry-distinct sites (fractional):
Ho1 0.0000 0.0000 0.0000 x4
Ge1 0.0000 0.0000 0.5000 x4
Au1 0.2500 0.2500 0.2500 x4

Main lines, in order of rising 2θ (2θ from 10° to 80°):
index	two_theta	d/Å	intensity
1 1 1	23.63	3.765	59
2 0 0	27.35	3.260	1
2 2 0	39.07	2.305	100
3 1 1	46.17	1.966	31
4 0 0	56.45	1.630	17
3 3 1	62.04	1.496	13
4 2 2	70.79	1.331	35
5 1 1	75.81	1.255	10

***

Record 2
This entry pairs a crystal structure of Cs with its calculated X-ray diffraction stick pattern. Radiation: Cu Ka. Structure: a cell relaxed with GGA-PBE.

Structure:
Cell lengths 5.5123, 5.5123, 8.8941 Å; angles 90.00, 90.00, 120.00 degrees
Space group P6_3/mmc (No. 194)
Symmetry-distinct sites (fractional):
Cs1 0.3333 0.6667 0.2500 x2

Main lines, in order of rising 2θ (2θ from 10° to 80°):
index	two_theta	d/Å	intensity
1 0 0	18.59	4.774	23
0 0 2	19.97	4.447	25
1 0 1	21.12	4.206	100
1 0 2	27.41	3.254	17
1 1 0	32.49	2.756	22
1 0 3	35.65	2.519	26
1 1 2	38.42	2.343	28
2 0 1	39.07	2.305	20
2 0 3	48.99	1.859	10
2 1 1	51.69	1.768	18
1 1 4	52.91	1.731	11
2 1 3	60.02	1.541	11

***

Record 3
This entry pairs a crystal structure of F with its calculated X-ray diffraction stick pattern. Radiation: Cu Ka. Structure: a cell relaxed with GGA-PBE.

Structure:
Cell lengths 5.5026, 3.2806, 7.2548 Å; angles 90.00, 102.22, 90.00 degrees
Space group C2/m (No. 12)
Symmetry-distinct sites (fractional):
F1 0.0050 0.0000 0.0991 x4
F2 0.0502 0.5000 0.5991 x4

Main lines, in order of rising 2θ (2θ from 10° to 80°):
index	two_theta	d/Å	intensity
0 0 2	25.12	3.545	14
1 1 -1	33.07	2.709	100
2 0 0	33.32	2.689	50
1 1 1	35.75	2.512	47
2 0 -2	37.46	2.401	15
0 0 4	51.56	1.773	9
0 2 0	56.07	1.640	10
3 1 -1	57.61	1.600	14
2 2 0	66.81	1.400	8
4 0 -2	69.35	1.355	5
1 1 -5	71.13	1.325	7
1 1 5	78.97	1.212	5

***

Record 4
This entry pairs a crystal structure of MgTe4MoW3Se2S2 with its calculated X-ray diffraction stick pattern. Radiation: Cu Ka. Structure: a cell relaxed with GGA-PBE.

Structure:
Cell lengths 3.3996, 3.3996, 45.7452 Å; angles 90.00, 90.00, 120.00 degrees
Space group P3m1 (No. 156)
Symmetry-distinct sites (fractional):
Mg1 0.0000 0.0000 0.0000 x1
Te1 0.3333 0.6667 0.4163 x1
Te2 0.3333 0.6667 0.4986 x1
Te3 0.6667 0.3333 0.8458 x1
Te4 0.6667 0.3333 0.9283 x1
Mo1 0.6667 0.3333 0.0887 x1
W1 0.3333 0.6667 0.2694 x1
W2 0.3333 0.6667 0.8868 x1
W3 0.6667 0.3333 0.4575 x1
Se1 0.6667 0.3333 0.2333 x1
Se2 0.6667 0.3333 0.3056 x1
S1 0.3333 0.6667 0.0554 x1
S2 0.3333 0.6667 0.1212 x1

Main lines, in order of rising 2θ (2θ from 10° to 80°):
index	two_theta	d/Å	intensity
0 0 6	11.61	7.624	42
1 0 0	30.37	2.943	45
1 0 5	31.93	2.803	29
1 0 8	34.26	2.618	79
1 0 10	36.29	2.476	22
1 0 11	37.42	2.403	30
1 0 13	39.93	2.258	100
0 1 15	42.69	2.118	17
1 1 0	53.94	1.700	37
1 1 5	54.94	1.671	21
0 2 13	69.18	1.358	20
1 1 26	78.16	1.223	19